1.
# HoBe2AlPt5
Simulated powder X-ray diffraction pattern, Cu Ka. Input: a GGA-PBE-relaxed structure.
Kinematic intensities with the Lorentz-polarization factor, no thermal factor.

Most intense lines, 10 to 80 degrees two-theta, in order of falling intensity:
- 2θ 32.86, d = 2.726 Å, rel. 100.0
- 2θ 28.70, d = 3.110 Å, rel. 83.4
- 2θ 36.96, d = 2.432 Å, rel. 83.3
- 2θ 54.23, d = 1.691 Å, rel. 58.4
- 2θ 44.98, d = 2.015 Å, rel. 56.6
- 2θ 50.56, d = 1.805 Å, rel. 35.2
- 2θ 73.03, d = 1.296 Å, rel. 24.4
- 2θ 77.53, d = 1.231 Å, rel. 22.4
- 2θ 59.18, d = 1.561 Å, rel. 20.2
- 2θ 77.65, d = 1.230 Å, rel. 19.7

Atomic structure:
Unit cell a=4.0308 b=4.0308 c=9.3308 alpha=90.00 beta=90.00 gamma=90.00
Space group P4/mmm (No. 123)
Symmetry-distinct sites (fractional):
Ho  0.0000  0.0000  0.0000
Be  0.5000  0.5000  0.2322
Al  0.0000  0.0000  0.5000
Pt  0.0000  0.5000  0.3328
Pt  0.5000  0.5000  0.0000

2.
# RbMg14Ga
Simulated powder X-ray diffraction pattern, Cu Ka. Input: a GGA-PBE-relaxed structure.
Kinematic intensities with the Lorentz-polarization factor, no thermal factor.

Most intense lines, 10 to 80 degrees two-theta, in order of falling intensity:
- 2θ 35.84, d = 2.506 Å, rel. 100.0
- 2θ 31.36, d = 2.852 Å, rel. 27.4
- 2θ 34.20, d = 2.622 Å, rel. 23.3
- 2θ 15.53, d = 5.705 Å, rel. 20.5
- 2θ 23.04, d = 3.861 Å, rel. 19.7
- 2θ 67.12, d = 1.395 Å, rel. 18.0
- 2θ 55.83, d = 1.647 Å, rel. 17.7
- 2θ 47.08, d = 1.930 Å, rel. 16.7
- 2θ 62.30, d = 1.490 Å, rel. 16.4
- 2θ 68.14, d = 1.376 Å, rel. 14.0

Atomic structure:
Unit cell a=6.5870 b=6.5870 c=10.4887 alpha=90.00 beta=90.00 gamma=120.00
Space group P-6m2 (No. 187)
Symmetry-distinct sites (fractional):
Rb  0.0000  0.0000  0.0000
Mg  0.0107  0.5054  0.0000
Mg  0.1700  0.3399  0.2720
Mg  0.5066  0.0132  0.5000
Mg  0.6667  0.3333  0.2436
Ga  0.0000  0.0000  0.5000

3.
# Y4TmRh2
Simulated powder X-ray diffraction pattern, Cu Ka. Input: a GGA-PBE-relaxed structure.
Kinematic intensities with the Lorentz-polarization factor, no thermal factor.

Most intense lines, 10 to 80 degrees two-theta, in order of falling intensity:
- 2θ 30.72, d = 2.910 Å, rel. 100.0
- 2θ 37.61, d = 2.391 Å, rel. 91.7
- 2θ 31.49, d = 2.841 Å, rel. 66.3
- 2θ 36.48, d = 2.463 Å, rel. 65.8
- 2θ 31.31, d = 2.857 Å, rel. 65.0
- 2θ 34.61, d = 2.592 Å, rel. 54.8
- 2θ 28.11, d = 3.174 Å, rel. 53.9
- 2θ 34.28, d = 2.616 Å, rel. 50.1
- 2θ 58.13, d = 1.587 Å, rel. 47.7
- 2θ 38.59, d = 2.333 Å, rel. 39.4

Atomic structure:
Unit cell a=7.8606 b=6.3490 c=7.8873 alpha=90.00 beta=112.66 gamma=90.00
Space group P2_1/m (No. 11)
Symmetry-distinct sites (fractional):
Y  0.0182  0.2500  0.3821
Y  0.2453  0.7500  0.3342
Y  0.4121  0.0025  0.7644
Tm  0.1596  0.2500  0.0302
Rh  0.2471  0.7500  0.9882
Rh  0.3744  0.2500  0.4091

4.
# NpBe17Mo
Simulated powder X-ray diffraction pattern, Cu Ka. Input: a GGA-PBE-relaxed structure.
Kinematic intensities with the Lorentz-polarization factor, no thermal factor.

Most intense lines, 10 to 80 degrees two-theta, in order of falling intensity:
- 2θ 23.77, d = 3.743 Å, rel. 100.0
- 2θ 15.89, d = 5.579 Å, rel. 93.8
- 2θ 34.31, d = 2.613 Å, rel. 92.1
- 2θ 21.24, d = 4.183 Å, rel. 47.8
- 2θ 48.98, d = 1.860 Å, rel. 43.3
- 2θ 24.38, d = 3.651 Å, rel. 31.8
- 2θ 41.80, d = 2.161 Å, rel. 30.8
- 2θ 71.53, d = 1.319 Å, rel. 29.6
- 2θ 28.72, d = 3.108 Å, rel. 27.9
- 2θ 37.62, d = 2.391 Å, rel. 27.3

Atomic structure:
Unit cell a=7.4854 b=7.4854 c=10.9529 alpha=90.00 beta=90.00 gamma=120.00
Space group R3m (No. 160, hexagonal axes)
Symmetry-distinct sites (fractional):
Np  0.0000  0.0000  0.0000
Be  0.0000  0.0000  0.5605
Be  0.0000  0.0000  0.7539
Be  0.0015  0.5008  0.1607
Be  0.0469  0.3757  0.3281
Be  0.1681  0.3363  0.1522
Be  0.1696  0.3393  0.8394
Mo  0.0000  0.0000  0.3275

5.
# AlGa3O6
Simulated powder X-ray diffraction pattern, Cu Ka. Input: a GGA-PBE-relaxed structure.
Kinematic intensities with the Lorentz-polarization factor, no thermal factor.

Most intense lines, 10 to 80 degrees two-theta, in order of falling intensity:
- 2θ 30.47, d = 2.934 Å, rel. 100.0
- 2θ 35.52, d = 2.527 Å, rel. 63.7
- 2θ 54.76, d = 1.676 Å, rel. 58.5
- 2θ 62.66, d = 1.483 Å, rel. 24.1
- 2θ 39.22, d = 2.297 Å, rel. 23.5
- 2θ 34.02, d = 2.635 Å, rel. 18.5
- 2θ 71.63, d = 1.317 Å, rel. 16.0
- 2θ 49.80, d = 1.831 Å, rel. 14.9
- 2θ 15.10, d = 5.868 Å, rel. 13.0
- 2θ 62.20, d = 1.493 Å, rel. 11.8

Atomic structure:
Unit cell a=7.3240 b=9.8071 c=2.9490 alpha=90.00 beta=90.00 gamma=90.00
Space group Cmmm (No. 65)
Symmetry-distinct sites (fractional):
Al  0.0000  0.0000  0.0000
Ga  0.0000  0.5000  0.0000
Ga  0.2500  0.2500  0.5000
O  0.0000  0.1281  0.5000
O  0.1854  0.3699  0.0000

6.
# MnBe17V
Simulated powder X-ray diffraction pattern, Cu Ka. Input: a GGA-PBE-relaxed structure.
Kinematic intensities with the Lorentz-polarization factor, no thermal factor.

Most intense lines, 10 to 80 degrees two-theta, in order of falling intensity:
- 2θ 35.60, d = 2.522 Å, rel. 100.0
- 2θ 24.70, d = 3.605 Å, rel. 82.6
- 2θ 50.94, d = 1.793 Å, rel. 72.1
- 2θ 16.48, d = 5.378 Å, rel. 55.6
- 2θ 43.48, d = 2.081 Å, rel. 45.5
- 2θ 50.65, d = 1.802 Å, rel. 38.6
- 2θ 22.01, d = 4.038 Å, rel. 29.0
- 2θ 25.23, d = 3.530 Å, rel. 27.7
- 2θ 75.39, d = 1.261 Å, rel. 20.6
- 2θ 74.68, d = 1.271 Å, rel. 20.4

Atomic structure:
Unit cell a=7.2093 b=7.2093 c=10.5902 alpha=90.00 beta=90.00 gamma=120.00
Space group R3m (No. 160, hexagonal axes)
Symmetry-distinct sites (fractional):
Mn  0.0000  0.0000  0.0000
Be  0.0000  0.0000  0.2356
Be  0.0000  0.0000  0.4374
Be  0.0037  0.5019  0.4904
Be  0.0314  0.3627  0.0038
Be  0.1694  0.3388  0.1726
Be  0.1713  0.3426  0.5149
V  0.0000  0.0000  0.6741

7.
# Y4Al3Cu
Simulated powder X-ray diffraction pattern, Cu Ka. Input: a GGA-PBE-relaxed structure.
Kinematic intensities with the Lorentz-polarization factor, no thermal factor.

Most intense lines, 10 to 80 degrees two-theta, in order of falling intensity:
- 2θ 34.88, d = 2.572 Å, rel. 100.0
- 2θ 36.82, d = 2.441 Å, rel. 44.4
- 2θ 65.08, d = 1.433 Å, rel. 30.6
- 2θ 25.81, d = 3.452 Å, rel. 19.7
- 2θ 61.26, d = 1.513 Å, rel. 16.7
- 2θ 53.05, d = 1.726 Å, rel. 15.0
- 2θ 23.06, d = 3.856 Å, rel. 12.3
- 2θ 43.90, d = 2.063 Å, rel. 10.2
- 2θ 73.66, d = 1.286 Å, rel. 9.7
- 2θ 47.13, d = 1.928 Å, rel. 9.4

Atomic structure:
Unit cell a=3.4523 b=3.4523 c=15.4259 alpha=90.00 beta=90.00 gamma=90.00
Space group P4/mmm (No. 123)
Symmetry-distinct sites (fractional):
Y  0.0000  0.0000  0.1143
Y  0.0000  0.0000  0.3708
Al  0.5000  0.5000  0.2414
Al  0.5000  0.5000  0.5000
Cu  0.5000  0.5000  0.0000

8.
# SmDy2YEr6
Simulated powder X-ray diffraction pattern, Cu Ka. Input: a GGA-PBE-relaxed structure.
Kinematic intensities with the Lorentz-polarization factor, no thermal factor.

Most intense lines, 10 to 80 degrees two-theta, in order of falling intensity:
- 2θ 30.91, d = 2.893 Å, rel. 100.0
- 2θ 31.74, d = 2.819 Å, rel. 63.7
- 2θ 34.08, d = 2.631 Å, rel. 56.5
- 2θ 31.51, d = 2.840 Å, rel. 41.7
- 2θ 28.79, d = 3.101 Å, rel. 39.0
- 2θ 31.85, d = 2.809 Å, rel. 32.4
- 2θ 32.55, d = 2.751 Å, rel. 23.1
- 2θ 56.90, d = 1.618 Å, rel. 17.5
- 2θ 63.13, d = 1.473 Å, rel. 12.9
- 2θ 28.32, d = 3.151 Å, rel. 12.9

Atomic structure:
Unit cell a=8.9861 b=14.9797 c=9.5089 alpha=90.00 beta=97.58 gamma=90.00
Space group C2/c (No. 15)
Symmetry-distinct sites (fractional):
Sm  0.0000  0.0241  0.2500
Dy  0.2497  0.0529  0.5447
Y  0.0000  0.4086  0.7500
Er  0.0635  0.1874  0.9430
Er  0.1013  0.3921  0.1194
Er  0.2047  0.2261  0.3173

9.
# Tb12HoTm7
Simulated powder X-ray diffraction pattern, Cu Ka. Input: a GGA-PBE-relaxed structure.
Kinematic intensities with the Lorentz-polarization factor, no thermal factor.

Most intense lines, 10 to 80 degrees two-theta, in order of falling intensity:
- 2θ 32.10, d = 2.788 Å, rel. 100.0
- 2θ 29.96, d = 2.982 Å, rel. 58.7
- 2θ 30.87, d = 2.897 Å, rel. 41.6
- 2θ 39.58, d = 2.277 Å, rel. 32.1
- 2θ 42.57, d = 2.124 Å, rel. 23.7
- 2θ 27.41, d = 3.254 Å, rel. 18.9
- 2θ 51.82, d = 1.764 Å, rel. 16.8
- 2θ 55.90, d = 1.645 Å, rel. 14.3
- 2θ 59.66, d = 1.550 Å, rel. 14.0
- 2θ 47.86, d = 1.900 Å, rel. 12.2

Atomic structure:
Unit cell a=12.7238 b=12.7238 c=13.6222 alpha=90.00 beta=90.00 gamma=120.00
Space group R-3 (No. 148, hexagonal axes)
Symmetry-distinct sites (fractional):
Tb  0.9995  0.4358  0.2499
Tb  0.0686  0.1992  0.3460
Ho  0.0000  0.0000  0.0000
Tm  0.0000  0.0000  0.5000
Tm  0.0686  0.8692  0.8490

10.
# Pm3Cd8Ag3
Simulated powder X-ray diffraction pattern, Cu Ka. Input: a GGA-PBE-relaxed structure.
Kinematic intensities with the Lorentz-polarization factor, no thermal factor.

Most intense lines, 10 to 80 degrees two-theta, in order of falling intensity:
- 2θ 32.35, d = 2.767 Å, rel. 100.0
- 2θ 36.49, d = 2.463 Å, rel. 80.0
- 2θ 33.34, d = 2.688 Å, rel. 67.3
- 2θ 31.96, d = 2.801 Å, rel. 52.0
- 2θ 63.76, d = 1.460 Å, rel. 51.3
- 2θ 41.18, d = 2.192 Å, rel. 50.0
- 2θ 32.54, d = 2.752 Å, rel. 49.8
- 2θ 35.20, d = 2.550 Å, rel. 43.4
- 2θ 49.27, d = 1.849 Å, rel. 30.4
- 2θ 42.31, d = 2.136 Å, rel. 30.1

Atomic structure:
Unit cell a=4.9252 b=9.9551 c=13.5508 alpha=90.00 beta=90.00 gamma=90.00
Space group Immm (No. 71)
Symmetry-distinct sites (fractional):
Pm  0.0000  0.0000  0.0000
Pm  0.0000  0.0000  0.2885
Cd  0.0000  0.2877  0.1381
Cd  0.0000  0.3606  0.3544
Ag  0.0000  0.1525  0.5000
Ag  0.0000  0.5000  0.0000

11.
# Ga4HgRh5
Simulated powder X-ray diffraction pattern, Cu Ka. Input: a GGA-PBE-relaxed structure.
Kinematic intensities with the Lorentz-polarization factor, no thermal factor.

Most intense lines, 10 to 80 degrees two-theta, in order of falling intensity:
- 2θ 41.05, d = 2.199 Å, rel. 100.0
- 2θ 42.15, d = 2.144 Å, rel. 55.3
- 2θ 76.29, d = 1.248 Å, rel. 31.4
- 2θ 61.13, d = 1.516 Å, rel. 18.1
- 2θ 37.24, d = 2.415 Å, rel. 11.2
- 2θ 74.02, d = 1.281 Å, rel. 10.1
- 2θ 34.03, d = 2.635 Å, rel. 7.5
- 2θ 31.56, d = 2.835 Å, rel. 6.6
- 2θ 30.00, d = 2.979 Å, rel. 6.1
- 2θ 57.74, d = 1.597 Å, rel. 5.3

Atomic structure:
Unit cell a=3.0321 b=3.0321 c=15.9677 alpha=90.00 beta=90.00 gamma=90.00
Space group P4/mmm (No. 123)
Symmetry-distinct sites (fractional):
Ga  0.0000  0.0000  0.0962
Ga  0.0000  0.0000  0.2893
Hg  0.0000  0.0000  0.5000
Rh  0.5000  0.5000  0.0000
Rh  0.5000  0.5000  0.1882
Rh  0.5000  0.5000  0.3747

12.
# CsMoPbCl6
Simulated powder X-ray diffraction pattern, Cu Ka. Input: a GGA-PBE-relaxed structure.
Kinematic intensities with the Lorentz-polarization factor, no thermal factor.

Most intense lines, 10 to 80 degrees two-theta, in order of falling intensity:
- 2θ 18.55, d = 4.783 Å, rel. 100.0
- 2θ 34.59, d = 2.593 Å, rel. 61.9
- 2θ 11.73, d = 7.542 Å, rel. 32.8
- 2θ 24.93, d = 3.572 Å, rel. 30.3
- 2θ 40.38, d = 2.233 Å, rel. 29.4
- 2θ 27.65, d = 3.226 Å, rel. 24.7
- 2θ 31.25, d = 2.862 Å, rel. 24.7
- 2θ 43.90, d = 2.062 Å, rel. 19.6
- 2θ 38.66, d = 2.329 Å, rel. 14.0
- 2θ 57.06, d = 1.614 Å, rel. 13.2

Atomic structure:
Unit cell a=7.1437 b=7.1437 c=7.5416 alpha=90.00 beta=90.00 gamma=120.00
Space group P312 (No. 149)
Symmetry-distinct sites (fractional):
Cs  0.0000  0.0000  0.0000
Mo  0.6667  0.3333  0.5000
Pb  0.3333  0.6667  0.5000
Cl  0.3927  0.0466  0.6924